The following is a computed XRD peak list of NaEuTiO4. It was derived from a structure optimized by DFT (GGA-PBE), using Cu Kα (weighted mean of Kα1 and Kα2).

Main lines, low angle first (15 to 90 degrees two-theta):
2theta	d_spacing	I (rel.)	index
27.3	3.263	95	2 1 1
31.5	2.838	100	3 1 1
33.2	2.698	34	0 2 0
33.7	2.658	35	0 0 2
42.2	2.143	15	6 0 0
43.8	2.067	14	4 2 0
44.2	2.049	15	4 0 2
48.1	1.893	38	0 2 2
56.5	1.629	13	2 1 3
58.3	1.583	17	3 3 1
58.9	1.567	17	3 1 3
65.8	1.419	15	6 2 2

Cell and atoms:
```
data_NaEuTiO4
_cell_length_a 12.8587
_cell_length_b 5.3955
_cell_length_c 5.3162
_cell_angle_alpha 90.00
_cell_angle_beta 90.00
_cell_angle_gamma 90.00
_symmetry_space_group_name_H-M 'P b c m'
_symmetry_Int_Tables_number 57
_symmetry_space_group_name_Hall '-P 2c 2b'
loop_
_atom_site_label
_atom_site_type_symbol
_atom_site_fract_x
_atom_site_fract_y
_atom_site_fract_z
Na1 Na 0.0852 0.0002 0.2500
Eu1 Eu 0.3925 0.0190 0.2500
Ti1 Ti 0.2305 0.5071 0.2500
O1 O 0.0942 0.5331 0.2500
O2 O 0.2557 0.2500 0.0000
O3 O 0.2765 0.7500 0.0000
O4 O 0.4328 0.0514 0.7500
```